Entry 1:
Theoretical XRD peak list
Compound: Dy2Fe17C3
Radiation: Cu Kα
Structure: the PBE geometry in the Materials Project

Top 10 peaks for 2θ from 10° to 90°, by intensity:
2theta	I_rel	h k l
42.18	100	3 0 2
41.78	74	2 2 0
29.75	45	1 1 2
35.97	40	3 0 0
40.38	37	2 0 3
43.36	35	0 0 4
60.87	21	4 1 2
61.78	21	2 2 4
45.72	20	2 1 3
78.74	18	3 0 6

Crystal structure
```
data_Dy2Fe17C3
_cell_length_a 8.6481
_cell_length_b 8.6481
_cell_length_c 8.3478
_cell_angle_alpha 90.00
_cell_angle_beta 90.00
_cell_angle_gamma 120.00
_symmetry_space_group_name_H-M 'P 63/m m c'
_symmetry_Int_Tables_number 194
_symmetry_space_group_name_Hall '-P 6c 2c'
loop_
_atom_site_label
_atom_site_fract_x
_atom_site_fract_y
_atom_site_fract_z
Dy1 0.0000 0.0000 0.2500
Dy2 0.3333 0.6667 0.2500
Fe1 0.0000 0.5000 0.0000
Fe2 0.0523 0.3784 0.7500
Fe3 0.1683 0.3366 0.0197
Fe4 0.3333 0.6667 0.6077
C1 0.1657 0.3313 0.2500
```

***

Entry 2:
Theoretical XRD peak list
Compound: Na5MgReO6
Radiation: Cu Kα
Structure: the PBE geometry in the Materials Project

Top 10 peaks for 2θ from 10° to 90°, by intensity:
2theta	I_rel	h k l
18.20	100	1 1 0
19.36	95	1 1 -1
16.38	94	0 0 1
17.02	87	0 2 0
31.15	76	1 1 -2
38.04	70	1 3 1
23.71	55	0 2 1
38.36	33	0 4 1
47.19	31	3 1 -2
35.15	30	2 0 -2

Crystal structure
```
data_Na5MgReO6
_cell_length_a 6.1014
_cell_length_b 10.4162
_cell_length_c 5.9881
_cell_angle_alpha 90.00
_cell_angle_beta 115.34
_cell_angle_gamma 90.00
_symmetry_space_group_name_H-M 'C 1 m 1'
_symmetry_Int_Tables_number 8
loop_
_symmetry_equiv_pos_as_xyz
'x,y,z'
'x,-y,z'
'x+1/2,y+1/2,z'
'x+1/2,-y+1/2,z'
loop_
_atom_site_label
_atom_site_fract_x
_atom_site_fract_y
_atom_site_fract_z
Na1 0.0000 0.0000 0.0000
Na2 0.0556 0.3417 0.8800
Na3 0.1389 0.2093 0.3684
Mg1 0.0070 0.0000 0.5597
Re1 0.0368 0.5000 0.3729
O1 0.2712 0.5000 0.2059
O2 0.2935 0.3733 0.6295
O3 0.3247 0.0000 0.5698
O4 0.3539 0.1385 0.1657
```